# 1
Structure and computed powder X-ray diffraction pattern of YLuCd2 (a cell relaxed with PBE; a wavelength of 1.5418 Å).
No peak broadening, texture or thermal motion is included.

Crystal structure
Lattice parameters (Å, degrees): 7.4391 7.4391 7.4391 90.00 90.00 90.00
Element x y z (fractional)
Y  0.0000  0.0000  0.0000
Y  0.0000  0.5000  0.5000
Y  0.5000  0.0000  0.5000
Y  0.5000  0.5000  0.0000
Lu  0.0000  0.0000  0.5000
Lu  0.0000  0.5000  0.0000
Lu  0.5000  0.0000  0.0000
Lu  0.5000  0.5000  0.5000
Cd  0.2500  0.2500  0.2500
Cd  0.2500  0.2500  0.7500
Cd  0.2500  0.7500  0.2500
Cd  0.2500  0.7500  0.7500
Cd  0.7500  0.2500  0.2500
Cd  0.7500  0.2500  0.7500
Cd  0.7500  0.7500  0.2500
Cd  0.7500  0.7500  0.7500

The 10 most intense peaks (2θ = 10–80°), in order of falling intensity:
d/Å  two_theta  I_rel
2.630  34.09  100
1.518  61.02  36
1.860  48.98  18
1.315  71.78  11
4.295  20.68  6
2.243  40.21  4
1.707  53.71  2
1.257  75.63  1
1.432  65.16  1
3.720  23.92  1

***

# 2
Structure and computed powder X-ray diffraction pattern of Sr2TlHg (a cell relaxed with PBE; a wavelength of 1.5418 Å).
No peak broadening, texture or thermal motion is included.

Crystal structure
Lattice parameters (Å, degrees): 8.1224 8.1224 8.1224 90.00 90.00 90.00
Element x y z (fractional)
Sr  0.2500  0.2500  0.2500
Sr  0.2500  0.2500  0.7500
Sr  0.2500  0.7500  0.2500
Sr  0.2500  0.7500  0.7500
Sr  0.7500  0.2500  0.2500
Sr  0.7500  0.2500  0.7500
Sr  0.7500  0.7500  0.2500
Sr  0.7500  0.7500  0.7500
Tl  0.0000  0.0000  0.0000
Tl  0.0000  0.5000  0.5000
Tl  0.5000  0.0000  0.5000
Tl  0.5000  0.5000  0.0000
Hg  0.0000  0.0000  0.5000
Hg  0.0000  0.5000  0.0000
Hg  0.5000  0.0000  0.0000
Hg  0.5000  0.5000  0.5000

The 10 most intense peaks (2θ = 10–80°), in order of falling intensity:
d/Å  two_theta  I_rel
2.872  31.14  100
1.658  55.42  40
2.031  44.62  19
4.061  21.89  17
1.284  73.78  17
1.436  64.95  12
1.816  50.23  8
2.345  38.39  6
1.354  69.43  4
1.224  78.04  2

***

# 3
Structure and computed powder X-ray diffraction pattern of CeS3 (a cell relaxed with PBE; a wavelength of 1.5418 Å).
No peak broadening, texture or thermal motion is included.

Crystal structure
Lattice parameters (Å, degrees): 3.9326 3.9326 9.8749 90.00 90.00 90.00
Element x y z (fractional)
Ce  0.0000  0.0000  0.0000
Ce  0.5000  0.5000  0.5000
S  0.0000  0.0000  0.5000
S  0.0000  0.5000  0.2500
S  0.0000  0.5000  0.7500
S  0.5000  0.0000  0.2500
S  0.5000  0.0000  0.7500
S  0.5000  0.5000  0.0000

The 10 most intense peaks (2θ = 10–80°), in order of falling intensity:
d/Å  two_theta  I_rel
2.423  37.11  100
3.654  24.36  58
4.937  17.97  29
2.469  36.39  26
1.966  46.17  26
1.538  60.16  23
2.524  35.57  23
1.206  79.47  21
1.416  65.95  17
1.731  52.88  15

***

# 4
Structure and computed powder X-ray diffraction pattern of Na4Al3Si3CNO13 (a cell relaxed with PBE; a wavelength of 1.5418 Å).
No peak broadening, texture or thermal motion is included.

Crystal structure
Lattice parameters (Å, degrees): 8.9969 8.9969 9.1885 90.00 90.00 90.01
Element x y z (fractional)
Na  0.1889  0.6890  0.0000
Na  0.1914  0.3085  0.6064
Na  0.3085  0.1914  0.1064
Na  0.3110  0.8111  0.5000
Na  0.6890  0.1889  0.5000
Na  0.6915  0.8086  0.1064
Na  0.8086  0.6915  0.6064
Na  0.8111  0.3110  0.0000
Al  0.0000  0.0000  0.0538
Al  0.0000  0.0000  0.5538
Al  0.2509  0.5002  0.3034
Al  0.5002  0.2509  0.8034
Al  0.4998  0.7491  0.8034
Al  0.7491  0.4998  0.3034
Si  0.9999  0.2486  0.3038
Si  0.0001  0.7514  0.3038
Si  0.2486  0.9999  0.8038
Si  0.5000  0.5000  0.0536
Si  0.5000  0.5000  0.5536
Si  0.7514  0.0001  0.8038
C  0.0000  0.5000  0.8036
C  0.5000  0.0000  0.3036
N  0.0000  0.5000  0.9343
N  0.5000  0.0000  0.4343
O  0.0000  0.5000  0.6695
O  0.0548  0.8495  0.4447
O  0.0555  0.1499  0.1636
O  0.1432  0.3468  0.3569
O  0.1445  0.6546  0.2514
O  0.1499  0.0555  0.6636
O  0.1505  0.9452  0.9447
O  0.3454  0.8555  0.7514
O  0.3468  0.1432  0.8569
O  0.3590  0.5550  0.4544
O  0.3596  0.4443  0.1534
O  0.4443  0.3596  0.6534
O  0.4450  0.6410  0.9544
O  0.5000  0.0000  0.1695
O  0.5550  0.3590  0.9544
O  0.5557  0.6404  0.6534
O  0.6404  0.5557  0.1534
O  0.6410  0.4450  0.4544
O  0.6532  0.8568  0.8569
O  0.6546  0.1445  0.7514
O  0.8495  0.0548  0.9447
O  0.8501  0.9445  0.6636
O  0.8555  0.3454  0.2514
O  0.8568  0.6532  0.3569
O  0.9445  0.8501  0.1636
O  0.9452  0.1505  0.4447

The 10 most intense peaks (2θ = 10–80°), in order of falling intensity:
d/Å  two_theta  I_rel
3.686  24.15  100
2.615  34.29  43
6.428  13.78  42
3.725  23.89  33
2.122  42.60  31
6.362  13.92  16
2.899  30.84  13
2.161  41.81  11
1.551  59.59  8
1.787  51.11  8

***

# 5
Structure and computed powder X-ray diffraction pattern of Ba2UCu4Se6 (a cell relaxed with PBE; a wavelength of 1.5418 Å).
No peak broadening, texture or thermal motion is included.

Crystal structure
Lattice parameters (Å, degrees): 7.3375 9.8298 8.9590 90.00 107.69 90.00
Element x y z (fractional)
Ba  0.0146  0.2316  0.1243
Ba  0.0146  0.2684  0.6243
Ba  0.9854  0.7316  0.3757
Ba  0.9854  0.7684  0.8757
U  0.5000  0.0000  0.5000
U  0.5000  0.5000  0.0000
Cu  0.4349  0.7467  0.2349
Cu  0.4349  0.7533  0.7349
Cu  0.4952  0.5005  0.6398
Cu  0.4952  0.9995  0.1398
Cu  0.5048  0.0005  0.8602
Cu  0.5048  0.4995  0.3602
Cu  0.5651  0.2467  0.2651
Cu  0.5651  0.2533  0.7651
Se  0.2118  0.5622  0.7113
Se  0.2118  0.9378  0.2113
Se  0.2166  0.5515  0.1481
Se  0.2166  0.9485  0.6481
Se  0.3884  0.2179  0.9703
Se  0.3884  0.2821  0.4703
Se  0.6116  0.7179  0.5297
Se  0.6116  0.7821  0.0297
Se  0.7834  0.0515  0.3519
Se  0.7834  0.4485  0.8519
Se  0.7882  0.0622  0.7887
Se  0.7882  0.4378  0.2887

The 10 most intense peaks (2θ = 10–80°), in order of falling intensity:
d/Å  two_theta  I_rel
3.068  29.10  100
2.105  42.98  53
6.991  12.66  50
3.229  27.62  48
2.699  33.19  45
2.458  36.56  42
4.021  22.11  38
2.599  34.52  33
2.240  40.27  30
3.495  25.48  27

***

# 6
Structure and computed powder X-ray diffraction pattern of Sm3Np (a cell relaxed with PBE; a wavelength of 1.5418 Å).
No peak broadening, texture or thermal motion is included.

Crystal structure
Lattice parameters (Å, degrees): 7.1942 7.1942 5.7308 90.00 90.00 120.00
Element x y z (fractional)
Sm  0.1693  0.3386  0.2500
Sm  0.1693  0.8307  0.2500
Sm  0.3386  0.1693  0.7500
Sm  0.6614  0.8307  0.2500
Sm  0.8307  0.1693  0.7500
Sm  0.8307  0.6614  0.7500
Np  0.3333  0.6667  0.7500
Np  0.6667  0.3333  0.2500

The 10 most intense peaks (2θ = 10–80°), in order of falling intensity:
d/Å  two_theta  I_rel
2.737  32.72  100
2.865  31.22  25
3.115  28.66  23
1.523  60.81  23
1.628  56.51  21
1.799  50.76  20
1.503  61.71  16
2.109  42.88  16
1.207  79.38  8
1.368  68.57  4

***

# 7
Structure and computed powder X-ray diffraction pattern of SiAs2 (a cell relaxed with PBE; a wavelength of 1.5418 Å).
No peak broadening, texture or thermal motion is included.

Crystal structure
Lattice parameters (Å, degrees): 6.1040 6.1040 6.1040 90.00 90.00 90.00
Element x y z (fractional)
Si  0.0000  0.0000  0.0000
Si  0.0000  0.5000  0.5000
Si  0.5000  0.0000  0.5000
Si  0.5000  0.5000  0.0000
As  0.1157  0.6157  0.8843
As  0.1157  0.8843  0.3843
As  0.3843  0.1157  0.8843
As  0.3843  0.3843  0.3843
As  0.6157  0.6157  0.6157
As  0.6157  0.8843  0.1157
As  0.8843  0.1157  0.6157
As  0.8843  0.3843  0.1157

The 10 most intense peaks (2θ = 10–80°), in order of falling intensity:
d/Å  two_theta  I_rel
2.730  32.81  100
2.492  36.04  86
1.631  56.40  49
1.693  54.18  36
1.840  49.53  35
1.332  70.73  20
3.524  25.27  15
3.052  29.26  14
1.526  60.69  12
1.301  72.65  10

***

# 8
Structure and computed powder X-ray diffraction pattern of ErAlPd (a cell relaxed with PBE; a wavelength of 1.5418 Å).
No peak broadening, texture or thermal motion is included.

Crystal structure
Lattice parameters (Å, degrees): 7.2154 7.2154 3.9330 90.00 90.00 120.00
Element x y z (fractional)
Er  0.0000  0.5822  0.0000
Er  0.4178  0.4178  0.0000
Er  0.5822  0.0000  0.0000
Al  0.0000  0.2405  0.5000
Al  0.2405  0.0000  0.5000
Al  0.7595  0.7595  0.5000
Pd  0.0000  0.0000  0.0000
Pd  0.3333  0.6667  0.5000
Pd  0.6667  0.3333  0.5000

The 10 most intense peaks (2θ = 10–80°), in order of falling intensity:
d/Å  two_theta  I_rel
2.446  36.74  100
2.659  33.71  79
3.608  24.68  31
3.124  28.57  27
1.586  58.17  26
2.362  38.10  24
2.083  43.45  23
2.025  44.76  21
1.967  46.16  21
1.347  69.83  20